The following is a calculated powder diffractogram of RhBr. It was derived from a cell relaxed with GGA-PBE, using Cu Kα (weighted mean of Kα1 and Kα2).

Structure:
Cell lengths 4.7159, 8.0106, 9.5476 Å; angles 90.00, 90.00, 90.00 degrees
Fractional positions:
Rh  0.0497  0.2257  0.4457
Rh  0.0626  0.3667  0.6986
Rh  0.4374  0.6333  0.1986
Rh  0.4503  0.7743  0.9457
Rh  0.5497  0.2743  0.5543
Rh  0.5626  0.1333  0.3014
Rh  0.9374  0.8667  0.8014
Rh  0.9503  0.7257  0.0543
Br  0.2152  0.4959  0.9299
Br  0.2471  0.1144  0.8183
Br  0.2529  0.8856  0.3183
Br  0.2848  0.5041  0.4299
Br  0.7153  0.0041  0.0701
Br  0.7471  0.3856  0.1817
Br  0.7529  0.6144  0.6817
Br  0.7847  0.9959  0.5701

Largest 10 diffraction maxima, in order of rising 2θ, 10 to 90 degrees two-theta:
d (Å), 2θ (°), intensity
6.137, 14.43, 1000
3.739, 23.80, 296
3.355, 26.57, 343
2.572, 34.89, 416
2.330, 38.64, 274
2.288, 39.39, 327
2.202, 40.98, 636
2.058, 44.00, 331
1.987, 45.65, 329
1.846, 49.36, 302

=====

The following is a calculated powder diffractogram of Sc4RhBr5. It was derived from a cell relaxed with GGA-PBE, using Cu Kα (weighted mean of Kα1 and Kα2).

Structure:
Cell lengths 9.0265, 9.0265, 8.1171 Å; angles 102.16, 102.16, 24.05 degrees
Fractional positions:
Sc  0.0041  0.0041  0.2189
Sc  0.3530  0.3530  0.9245
Sc  0.6470  0.6470  0.0755
Sc  0.9959  0.9959  0.7811
Rh  0.5000  0.5000  0.0000
Br  0.1678  0.1678  0.3292
Br  0.1761  0.1761  0.8421
Br  0.5000  0.5000  0.5000
Br  0.8239  0.8239  0.1579
Br  0.8322  0.8322  0.6708

Largest 10 diffraction maxima, in order of rising 2θ, 10 to 90 degrees two-theta:
d (Å), 2θ (°), intensity
7.927, 11.16, 259
3.338, 26.70, 206
3.292, 27.09, 210
3.147, 28.36, 348
2.874, 31.12, 518
2.758, 32.46, 1000
2.029, 44.66, 186
2.000, 45.34, 347
1.980, 45.83, 328
1.880, 48.41, 161

=====

The following is a calculated powder diffractogram of ZnRhSe2Br. It was derived from a cell relaxed with GGA-PBE, using Cu Kα (weighted mean of Kα1 and Kα2).

Structure:
Cell lengths 4.8846, 4.8846, 5.1484 Å; angles 90.00, 90.00, 90.00 degrees
Fractional positions:
Zn  0.0000  0.0000  0.0000
Rh  0.5000  0.5000  0.5000
Se  0.0000  0.5000  0.5000
Se  0.5000  0.0000  0.5000
Br  0.5000  0.5000  0.0000

Largest 10 diffraction maxima, in order of rising 2θ, 10 to 90 degrees two-theta:
d (Å), 2θ (°), intensity
5.148, 17.22, 247
4.885, 18.16, 477
3.544, 25.13, 284
2.868, 31.18, 772
2.574, 34.85, 582
2.442, 36.80, 1000
1.772, 51.58, 741
1.727, 53.03, 341
1.480, 62.81, 196
1.434, 65.03, 363

=====

The following is a calculated powder diffractogram of Sm6Si2RhBr3. It was derived from a cell relaxed with GGA-PBE, using Cu Kα (weighted mean of Kα1 and Kα2).

Structure:
Cell lengths 9.6600, 9.6600, 8.9066 Å; angles 105.11, 105.11, 24.75 degrees
Fractional positions:
Sm  0.0077  0.0077  0.2203
Sm  0.3239  0.3239  0.4348
Sm  0.3477  0.3477  0.8923
Sm  0.6523  0.6523  0.1077
Sm  0.6761  0.6761  0.5652
Sm  0.9923  0.9923  0.7797
Si  0.1653  0.1653  0.3388
Si  0.8347  0.8347  0.6612
Rh  0.5000  0.5000  0.0000
Br  0.1738  0.1738  0.8356
Br  0.5000  0.5000  0.5000
Br  0.8262  0.8262  0.1644

Largest 10 diffraction maxima, in order of rising 2θ, 10 to 90 degrees two-theta:
d (Å), 2θ (°), intensity
3.419, 26.06, 127
3.031, 29.47, 1000
2.225, 40.53, 104
2.167, 41.67, 183
2.120, 42.64, 264
2.070, 43.73, 125
1.768, 51.71, 89
1.710, 53.61, 120
1.516, 61.14, 88
1.344, 70.01, 106

=====

The following is a calculated powder diffractogram of SnRhBr. It was derived from a cell relaxed with GGA-PBE, using Cu Kα (weighted mean of Kα1 and Kα2).

Structure:
Cell lengths 8.2014, 8.2014, 6.3694 Å; angles 90.00, 90.00, 138.57 degrees
Fractional positions:
Sn  0.0832  0.9168  0.8658
Sn  0.4168  0.5832  0.3658
Sn  0.5832  0.4168  0.6342
Sn  0.9168  0.0832  0.1342
Rh  0.1911  0.3089  0.7500
Rh  0.3089  0.1911  0.2500
Rh  0.6911  0.8089  0.7500
Rh  0.8089  0.6911  0.2500
Br  0.1796  0.8204  0.4294
Br  0.3204  0.6796  0.9294
Br  0.6796  0.3204  0.0706
Br  0.8204  0.1796  0.5706

Largest 10 diffraction maxima, in order of rising 2θ, 10 to 90 degrees two-theta:
d (Å), 2θ (°), intensity
7.671, 11.54, 886
3.286, 27.13, 349
2.941, 30.39, 343
2.747, 32.60, 565
2.496, 35.98, 992
2.450, 36.67, 334
2.175, 41.52, 1000
1.918, 47.41, 208
1.858, 49.04, 386
1.143, 84.81, 204

=====

The following is a calculated powder diffractogram of Sr3RhBr3. It was derived from a cell relaxed with GGA-PBE, using Cu Kα (weighted mean of Kα1 and Kα2).

Structure:
Cell lengths 10.7809, 10.7809, 10.7809 Å; angles 109.47, 109.47, 109.47 degrees
Fractional positions:
Sr  0.0084  0.0168  0.2584
Sr  0.0084  0.4916  0.7500
Sr  0.0168  0.2584  0.0084
Sr  0.2416  0.2584  0.7500
Sr  0.2416  0.4832  0.4916
Sr  0.2584  0.0084  0.0168
Sr  0.2584  0.7500  0.2416
Sr  0.4832  0.4916  0.2416
Sr  0.4916  0.2416  0.4832
Sr  0.4916  0.7500  0.0084
Sr  0.7500  0.0084  0.4916
Sr  0.7500  0.2416  0.2584
Rh  0.0000  0.2500  0.5000
Rh  0.2500  0.2500  0.2500
Rh  0.2500  0.5000  0.0000
Rh  0.5000  0.0000  0.2500
Br  0.9995  0.5005  0.2500
Br  0.9995  0.9990  0.7495
Br  0.2500  0.9995  0.5005
Br  0.2500  0.7505  0.7495
Br  0.5005  0.2500  0.9995
Br  0.5005  0.7505  0.5010
Br  0.5010  0.5005  0.7505
Br  0.7495  0.9995  0.9990
Br  0.7495  0.2500  0.7505
Br  0.7505  0.5010  0.5005
Br  0.7505  0.7495  0.2500
Br  0.9990  0.7495  0.9995

Largest 10 diffraction maxima, in order of rising 2θ, 10 to 90 degrees two-theta:
d (Å), 2θ (°), intensity
8.803, 10.05, 254
3.327, 26.80, 45
3.112, 28.68, 1000
2.441, 36.81, 59
2.201, 41.01, 738
1.797, 50.81, 257
1.556, 59.40, 118
1.392, 67.27, 321
1.271, 74.71, 235
1.100, 88.96, 76

=====

The following is a calculated powder diffractogram of SrRhBr2. It was derived from a cell relaxed with GGA-PBE, using Cu Kα (weighted mean of Kα1 and Kα2).

Structure:
Cell lengths 5.9750, 5.9750, 5.1528 Å; angles 90.88, 90.88, 39.11 degrees
Fractional positions:
Sr  0.0000  0.0000  0.0000
Rh  0.2963  0.2963  0.1769
Br  0.4741  0.4741  0.4949
Br  0.7241  0.7241  0.9441

Largest 10 diffraction maxima, in order of rising 2θ, 10 to 90 degrees two-theta:
d (Å), 2θ (°), intensity
5.152, 17.21, 576
3.832, 23.21, 429
3.050, 29.28, 1000
2.815, 31.79, 395
2.737, 32.72, 217
2.429, 37.01, 193
2.405, 37.39, 771
2.000, 45.34, 272
1.916, 47.45, 189
1.865, 48.84, 218